1.
Structure and computed powder X-ray diffraction pattern of Ac4La5Sm4 (DFT lattice parameters and positions (GGA-PBE); Cu Ka).
Lines closer than 0.1° are merged.

Main lines, low angle first (2θ from 10° to 90°):
d_spacing  I/Imax
3.092  100
2.687  17
2.673  33
1.895  24
1.890  12
1.619  15
1.613  29
1.546  13
1.230  12
1.092  8

Atomic structure:
Cell lengths 10.0048, 10.0048, 10.0048 Å; angles 94.14, 94.14, 148.84 degrees
Sites, in units of the cell vectors:
Ac 0.0811 0.6202 0.7014
Ac 0.3798 0.0811 0.4609
Ac 0.6202 0.9189 0.5391
Ac 0.9189 0.3798 0.2986
La 0.0000 0.0000 0.0000
La 0.3138 0.4572 0.7710
La 0.4572 0.6862 0.1434
La 0.5428 0.3138 0.8566
La 0.6862 0.5428 0.2290
Sm 0.1518 0.2297 0.3816
Sm 0.2297 0.8482 0.0779
Sm 0.7703 0.1518 0.9221
Sm 0.8482 0.7703 0.6184


2.
Structure and computed powder X-ray diffraction pattern of Ac12La5Sm (DFT lattice parameters and positions (GGA-PBE); Cu Ka).
Lines closer than 0.1° are merged.

Main lines, low angle first (2θ from 10° to 90°):
d_spacing  I/Imax
3.193  100
2.776  35
2.742  17
1.963  13
1.951  25
1.672  31
1.657  15
1.596  14
1.266  13
1.131  9

Atomic structure:
Cell lengths 11.7075, 11.7075, 6.7447 Å; angles 106.17, 106.17, 60.40 degrees
Sites, in units of the cell vectors:
Ac 0.0018 0.3300 0.4999
Ac 0.1635 0.8365 0.0000
Ac 0.1688 0.4975 0.9987
Ac 0.3300 0.0018 0.4999
Ac 0.3347 0.6648 0.5001
Ac 0.4975 0.1688 0.9987
Ac 0.5025 0.8313 0.0017
Ac 0.6648 0.3347 0.5001
Ac 0.6697 0.9977 0.5006
Ac 0.8313 0.5025 0.0017
Ac 0.8365 0.1635 0.0000
Ac 0.9977 0.6697 0.5006
La 0.1665 0.1665 0.9990
La 0.3328 0.3328 0.4992
La 0.5001 0.5001 0.0002
La 0.6666 0.6666 0.5012
La 0.8337 0.8337 0.0016
Sm 0.9997 0.9997 0.4999


3.
Structure and computed powder X-ray diffraction pattern of Ac3La5Sm2 (DFT lattice parameters and positions (GGA-PBE); Cu Ka).
Lines closer than 0.1° are merged.

Main lines, low angle first (2θ from 10° to 90°):
d_spacing  I/Imax
3.231  91
3.210  91
2.971  100
2.963  96
2.913  55
2.835  45
2.823  95
2.700  33
2.296  46
1.942  39

Atomic structure:
Cell lengths 9.4206, 9.4206, 10.7376 Å; angles 108.12, 108.12, 106.35 degrees
Sites, in units of the cell vectors:
Ac 0.0116 0.9884 0.7500
Ac 0.2226 0.4746 0.4455
Ac 0.4746 0.2226 0.9455
Ac 0.5254 0.7774 0.0545
Ac 0.7774 0.5254 0.5545
Ac 0.9884 0.0116 0.2500
La 0.1257 0.3806 0.7513
La 0.2309 0.7691 0.7500
La 0.2616 0.7384 0.2500
La 0.3806 0.1257 0.2513
La 0.4727 0.5273 0.2500
La 0.5273 0.4727 0.7500
La 0.6194 0.8743 0.7487
La 0.7384 0.2616 0.7500
La 0.7691 0.2309 0.2500
La 0.8743 0.6194 0.2487
Sm 0.0264 0.2918 0.0617
Sm 0.2918 0.0264 0.5617
Sm 0.7082 0.9736 0.4383
Sm 0.9736 0.7082 0.9383


4.
Structure and computed powder X-ray diffraction pattern of Ac2La2Sm3 (DFT lattice parameters and positions (GGA-PBE); Cu Ka).
Lines closer than 0.1° are merged.

Main lines, low angle first (2θ from 10° to 90°):
d_spacing  I/Imax
3.444  25
3.161  67
3.106  20
3.012  67
2.880  100
2.871  48
2.759  59
2.034  15
1.861  14
1.741  21

Atomic structure:
Cell lengths 9.0861, 9.1994, 6.8880 Å; angles 90.00, 112.07, 90.00 degrees
Sites, in units of the cell vectors:
Ac 0.1955 0.1106 0.0999
Ac 0.1955 0.3894 0.5999
Ac 0.8045 0.6106 0.4001
Ac 0.8045 0.8894 0.9001
La 0.2828 0.7474 0.3924
La 0.2828 0.7526 0.8924
La 0.7172 0.2474 0.1076
La 0.7172 0.2526 0.6076
Sm 0.0000 0.0000 0.5000
Sm 0.0000 0.5000 0.0000
Sm 0.4124 0.0608 0.7044
Sm 0.4124 0.4392 0.2044
Sm 0.5876 0.5608 0.7956
Sm 0.5876 0.9392 0.2956


5.
Structure and computed powder X-ray diffraction pattern of Ac2La8Sm (DFT lattice parameters and positions (GGA-PBE); Cu Ka).
Lines closer than 0.1° are merged.

Main lines, low angle first (2θ from 10° to 90°):
d_spacing  I/Imax
3.935  34
3.251  38
3.144  68
3.034  79
3.019  100
2.971  59
2.941  99
2.867  86
1.763  32
1.549  30

Atomic structure:
Cell lengths 9.2510, 9.2510, 7.0750 Å; angles 99.92, 99.92, 44.80 degrees
Sites, in units of the cell vectors:
Ac 0.1952 0.1952 0.3179
Ac 0.8048 0.8048 0.6821
La 0.1846 0.6479 0.1005
La 0.2441 0.2441 0.8306
La 0.3521 0.8154 0.8995
La 0.4095 0.4095 0.5880
La 0.5905 0.5905 0.4120
La 0.6479 0.1846 0.1005
La 0.7559 0.7559 0.1694
La 0.8154 0.3521 0.8995
Sm 0.0000 0.0000 0.5000


6.
Structure and computed powder X-ray diffraction pattern of Ac2La5Sm3 (DFT lattice parameters and positions (GGA-PBE); Cu Ka).
Lines closer than 0.1° are merged.

Main lines, low angle first (2θ from 10° to 90°):
d_spacing  I/Imax
3.192  100
2.918  91
2.860  25
2.822  48
2.805  25
2.009  18
1.989  18
1.907  21
1.580  23
1.567  30

Atomic structure:
Cell lengths 9.2689, 9.2689, 10.7021 Å; angles 108.67, 108.67, 104.98 degrees
Sites, in units of the cell vectors:
Ac 0.0289 0.2821 0.0570
Ac 0.2821 0.0289 0.5570
Ac 0.7179 0.9711 0.4430
Ac 0.9711 0.7179 0.9430
La 0.0248 0.9752 0.7500
La 0.1221 0.3761 0.7486
La 0.2363 0.7637 0.7500
La 0.3761 0.1221 0.2486
La 0.4859 0.5141 0.2500
La 0.5141 0.4859 0.7500
La 0.6239 0.8779 0.7514
La 0.7637 0.2363 0.2500
La 0.8779 0.6239 0.2514
La 0.9752 0.0248 0.2500
Sm 0.2244 0.4746 0.4424
Sm 0.2723 0.7277 0.2500
Sm 0.4746 0.2244 0.9424
Sm 0.5254 0.7756 0.0576
Sm 0.7277 0.2723 0.7500
Sm 0.7756 0.5254 0.5576


7.
Structure and computed powder X-ray diffraction pattern of Ac2La8Sm3 (DFT lattice parameters and positions (GGA-PBE); Cu Ka).
Lines closer than 0.1° are merged.

Main lines, low angle first (2θ from 10° to 90°):
d_spacing  I/Imax
3.376  57
3.266  37
3.006  100
2.989  31
2.891  66
2.734  45
2.648  36
2.583  33
1.870  49
1.688  39

Atomic structure:
Cell lengths 13.4301, 13.4301, 13.4301 Å; angles 29.12, 29.12, 29.12 degrees
Sites, in units of the cell vectors:
Ac 0.1403 0.1403 0.1403
Ac 0.8597 0.8597 0.8597
La 0.2163 0.2163 0.7255
La 0.2163 0.7255 0.2163
La 0.2258 0.2258 0.2258
La 0.2745 0.7837 0.7837
La 0.7255 0.2163 0.2163
La 0.7742 0.7742 0.7742
La 0.7837 0.2745 0.7837
La 0.7837 0.7837 0.2745
Sm 0.3125 0.3125 0.3125
Sm 0.5000 0.5000 0.5000
Sm 0.6875 0.6875 0.6875


8.
Structure and computed powder X-ray diffraction pattern of AcLa8Sm4 (DFT lattice parameters and positions (GGA-PBE); Cu Ka).
Lines closer than 0.1° are merged.

Main lines, low angle first (2θ from 10° to 90°):
d_spacing  I/Imax
4.085  25
3.371  26
2.984  100
2.635  23
2.410  46
1.975  16
1.723  20
1.686  21
1.588  13
1.492  13

Atomic structure:
Cell lengths 8.0120, 8.0120, 8.0120 Å; angles 96.32, 96.32, 96.32 degrees
Sites, in units of the cell vectors:
Ac 0.0000 0.0000 0.0000
La 0.1717 0.6672 0.6672
La 0.2695 0.2695 0.2695
La 0.3328 0.3328 0.8283
La 0.3328 0.8283 0.3328
La 0.6672 0.1717 0.6672
La 0.6672 0.6672 0.1717
La 0.7305 0.7305 0.7305
La 0.8283 0.3328 0.3328
Sm 0.0000 0.0000 0.5000
Sm 0.0000 0.5000 0.0000
Sm 0.5000 0.0000 0.0000
Sm 0.5000 0.5000 0.5000